# 1
Diffraction record for Pr2Ti2S2O5. The PXRD pattern is calculated, not measured: it uses the GGA-PBE geometry in the Materials Project and CuKα.
Kinematic intensities with the Lorentz-polarization factor, no thermal factor.

Top 10 peaks for 2θ from 5° to 70°, low angle first:
2θ (°)  d/Å  Rel. int.
7.55  11.707  53.4
15.14  5.854  48.1
25.59  3.481  100.0
32.56  2.750  62.6
35.40  2.536  52.2
40.11  2.248  34.9
41.77  2.162  36.1
46.72  1.944  38.5
54.02  1.698  25.9
59.95  1.543  21.4

a = 12.0260 Å, b = 12.0260 Å, c = 12.0260 Å
α = 161.39°, β = 161.39°, γ = 26.44°
Fractional positions:
Pr 0.1657 0.1657 0.0000
Pr 0.8343 0.8343 0.0000
Ti 0.4226 0.4226 0.0000
Ti 0.5774 0.5774 0.0000
S 0.2967 0.2967 0.0000
S 0.7033 0.7033 0.0000
O 0.0960 0.5960 0.5000
O 0.4040 0.9040 0.5000
O 0.5000 0.5000 0.0000
O 0.5960 0.0960 0.5000
O 0.9040 0.4040 0.5000



# 2
Diffraction record for Pr6Ti2S7O6. The PXRD pattern is calculated, not measured: it uses the GGA-PBE geometry in the Materials Project and CuKα.
Kinematic intensities with the Lorentz-polarization factor, no thermal factor.

Top 10 peaks for 2θ from 5° to 70°, low angle first:
2θ (°)  d/Å  Rel. int.
25.68  3.469  56.0
25.97  3.431  26.9
26.97  3.305  25.7
27.87  3.201  65.8
31.85  2.809  100.0
32.70  2.738  25.5
33.00  2.714  21.1
43.82  2.066  20.8
44.79  2.023  31.4
46.16  1.966  36.6

a = 12.1402 Å, b = 3.9327 Å, c = 16.6813 Å
α = 90.00°, β = 97.73°, γ = 90.00°
Fractional positions:
Pr 0.0240 0.2500 0.1242
Pr 0.0642 0.2500 0.3916
Pr 0.2811 0.7500 0.6235
Pr 0.3221 0.7500 0.9728
Pr 0.4063 0.2500 0.3808
Pr 0.4741 0.2500 0.7909
Pr 0.5259 0.7500 0.2091
Pr 0.5937 0.7500 0.6192
Pr 0.6779 0.2500 0.0272
Pr 0.7189 0.2500 0.3765
Pr 0.9358 0.7500 0.6084
Pr 0.9760 0.7500 0.8758
Ti 0.2033 0.2500 0.8127
Ti 0.2219 0.7500 0.2645
Ti 0.7781 0.2500 0.7355
Ti 0.7967 0.7500 0.1873
S 0.0031 0.7500 0.2552
S 0.0989 0.2500 0.5675
S 0.1158 0.2500 0.9629
S 0.2027 0.7500 0.1257
S 0.2336 0.7500 0.4290
S 0.4213 0.2500 0.5587
S 0.4475 0.2500 0.0799
S 0.5525 0.7500 0.9201
S 0.5787 0.7500 0.4413
S 0.7664 0.2500 0.5710
S 0.7973 0.2500 0.8743
S 0.8842 0.7500 0.0371
S 0.9011 0.7500 0.4325
S 0.9969 0.2500 0.7448
O 0.1806 0.7500 0.8287
O 0.2057 0.2500 0.2829
O 0.2729 0.2500 0.7230
O 0.3329 0.2500 0.8857
O 0.3719 0.7500 0.2892
O 0.4517 0.7500 0.7139
O 0.5483 0.2500 0.2861
O 0.6281 0.2500 0.7108
O 0.6671 0.7500 0.1143
O 0.7271 0.7500 0.2770
O 0.7943 0.7500 0.7171
O 0.8194 0.2500 0.1713



# 3
Diffraction record for Pr3Sb5O12. The PXRD pattern is calculated, not measured: it uses the GGA-PBE geometry in the Materials Project and CuKα.
Kinematic intensities with the Lorentz-polarization factor, no thermal factor.

Top 10 peaks for 2θ from 5° to 70°, low angle first:
2θ (°)  d/Å  Rel. int.
11.17  7.925  11.7
27.57  3.235  100.0
31.94  2.802  34.8
37.65  2.389  3.4
45.80  1.981  43.4
52.95  1.729  3.4
54.30  1.690  39.4
56.92  1.618  9.1
60.73  1.525  3.8
66.78  1.401  5.6

a = 9.7056 Å, b = 9.7056 Å, c = 9.7056 Å
α = 109.47°, β = 109.47°, γ = 109.47°
Fractional positions:
Pr 0.2500 0.5000 0.7500
Pr 0.2500 0.7500 0.5000
Pr 0.5000 0.2500 0.7500
Pr 0.5000 0.7500 0.2500
Pr 0.7500 0.2500 0.5000
Pr 0.7500 0.5000 0.2500
Sb 0.0000 0.0000 0.5040
Sb 0.0000 0.2812 0.2812
Sb 0.0000 0.5040 0.0000
Sb 0.0000 0.7188 0.7188
Sb 0.2812 0.0000 0.2812
Sb 0.2812 0.2812 0.0000
Sb 0.4960 0.4960 0.4960
Sb 0.5040 0.0000 0.0000
Sb 0.7188 0.0000 0.7188
Sb 0.7188 0.7188 0.0000
O 0.0000 0.1966 0.4711
O 0.0000 0.4711 0.1966
O 0.0000 0.5109 0.7080
O 0.0000 0.7080 0.5109
O 0.1966 0.0000 0.4711
O 0.1966 0.4711 0.0000
O 0.1971 0.4891 0.4891
O 0.2745 0.8034 0.8034
O 0.2920 0.2920 0.8029
O 0.2920 0.8029 0.2920
O 0.4711 0.0000 0.1966
O 0.4711 0.1966 0.0000
O 0.4891 0.1971 0.4891
O 0.4891 0.4891 0.1971
O 0.5109 0.0000 0.7080
O 0.5109 0.7080 0.0000
O 0.5289 0.5289 0.7255
O 0.5289 0.7255 0.5289
O 0.7080 0.0000 0.5109
O 0.7080 0.5109 0.0000
O 0.7255 0.5289 0.5289
O 0.8034 0.2745 0.8034
O 0.8029 0.2920 0.2920
O 0.8034 0.8034 0.2745



# 4
Diffraction record for PrSb2O6. The PXRD pattern is calculated, not measured: it uses the GGA-PBE geometry in the Materials Project and CuKα.
Kinematic intensities with the Lorentz-polarization factor, no thermal factor.

Top 10 peaks for 2θ from 5° to 70°, low angle first:
2θ (°)  d/Å  Rel. int.
18.85  4.707  27.3
19.31  4.596  31.3
22.07  4.028  29.0
30.79  2.904  22.5
31.43  2.846  100.0
31.95  2.801  24.1
44.96  2.016  26.2
45.13  2.009  15.5
56.61  1.626  22.5
65.60  1.423  14.2

a = 8.0365 Å, b = 5.8074 Å, c = 5.6024 Å
α = 90.00°, β = 90.00°, γ = 90.00°
Fractional positions:
Pr 0.0000 0.1897 0.0000
Pr 0.5000 0.8103 0.5000
Sb 0.2494 0.7374 0.9855
Sb 0.2506 0.2626 0.4855
Sb 0.7494 0.2626 0.4855
Sb 0.7506 0.7374 0.9855
O 0.0000 0.2646 0.5795
O 0.0000 0.7734 0.9170
O 0.1998 0.4514 0.1845
O 0.2136 0.9813 0.2534
O 0.2864 0.0187 0.7534
O 0.3002 0.5486 0.6845
O 0.5000 0.2266 0.4170
O 0.5000 0.7354 0.0795
O 0.6998 0.5486 0.6845
O 0.7136 0.0187 0.7534
O 0.7864 0.9813 0.2534
O 0.8002 0.4514 0.1845



# 5
Diffraction record for Pr2SbO2. The PXRD pattern is calculated, not measured: it uses the GGA-PBE geometry in the Materials Project and CuKα.
Kinematic intensities with the Lorentz-polarization factor, no thermal factor.

Top 10 peaks for 2θ from 5° to 70°, low angle first:
2θ (°)  d/Å  Rel. int.
29.41  3.037  100.0
30.18  2.961  92.0
31.26  2.862  71.1
40.42  2.232  17.4
44.79  2.024  36.2
51.95  1.760  22.7
54.04  1.697  18.0
54.47  1.684  17.6
54.94  1.671  17.2
55.45  1.657  15.9

a = 5.7247 Å, b = 5.7258 Å, c = 7.1896 Å
α = 90.00°, β = 111.39°, γ = 90.00°
Fractional positions:
Pr 0.1706 0.0000 0.3230
Pr 0.3294 0.5000 0.6770
Pr 0.6706 0.5000 0.3230
Pr 0.8294 0.0000 0.6770
Sb 0.0000 0.5000 0.0000
Sb 0.5000 0.0000 0.0000
O 0.0000 0.2502 0.5000
O 0.0000 0.7498 0.5000
O 0.5000 0.2498 0.5000
O 0.5000 0.7502 0.5000



# 6
Diffraction record for Pr2SbO2. The PXRD pattern is calculated, not measured: it uses the GGA-PBE geometry in the Materials Project and CuKα.
Kinematic intensities with the Lorentz-polarization factor, no thermal factor.

Top 10 peaks for 2θ from 5° to 70°, low angle first:
2θ (°)  d/Å  Rel. int.
12.69  6.978  2.4
29.32  3.047  100.0
31.38  2.851  35.1
38.71  2.326  9.9
44.97  2.016  17.9
50.65  1.802  24.7
54.59  1.681  34.7
60.81  1.523  10.8
64.37  1.447  10.2
65.49  1.425  5.6

a = 4.0312 Å, b = 4.0312 Å, c = 13.9562 Å
α = 90.00°, β = 90.00°, γ = 90.00°
Fractional positions:
Pr 0.0000 0.0000 0.1630
Pr 0.0000 0.0000 0.8370
Pr 0.5000 0.5000 0.3370
Pr 0.5000 0.5000 0.6630
Sb 0.0000 0.0000 0.5000
Sb 0.5000 0.5000 0.0000
O 0.0000 0.5000 0.2500
O 0.0000 0.5000 0.7500
O 0.5000 0.0000 0.2500
O 0.5000 0.0000 0.7500